Record 1
# Cs2ScTlBr6
Simulated powder diffractogram, Cu Kα (λ = 1.5418 Å). Input: a crystal structure in the Materials Project, relaxed with PBE.

Principal peaks in the range 15 to 90 degrees two-theta, by angle:
Position (°2θ), I_rel
21.38, 63
26.26, 50
30.42, 100
33.22, 24
37.48, 26
43.55, 69
54.05, 23
71.83, 27

Structural model:
Cell lengths 8.312, 8.312, 8.312 Å; angles 60.00, 60.00, 60.00 degrees
Atoms (fractional coordinates):
Cs 0.250 0.250 0.250
Cs 0.750 0.750 0.750
Sc 0.000 0.000 0.000
Tl 0.500 0.500 0.500
Br 0.227 0.227 0.773
Br 0.227 0.773 0.227
Br 0.227 0.773 0.773
Br 0.773 0.227 0.227
Br 0.773 0.227 0.773
Br 0.773 0.773 0.227

---

Record 2
# CsTc3Se4Br2
Simulated powder diffractogram, Cu Kα (λ = 1.5418 Å). Input: a crystal structure in the Materials Project, relaxed with PBE.

Principal peaks in the range 15 to 90 degrees two-theta, by angle:
Position (°2θ), I_rel
16.72, 90
27.66, 76
29.24, 100
29.56, 60
30.35, 88
44.57, 62
45.29, 63
46.87, 73

Structural model:
Cell lengths 6.664, 19.357, 10.308 Å; angles 90.00, 115.37, 90.00 degrees
Atoms (fractional coordinates):
Cs 0.049 0.190 0.052
Cs 0.049 0.310 0.552
Cs 0.951 0.690 0.448
Cs 0.951 0.810 0.948
Tc 0.140 0.579 0.107
Tc 0.140 0.921 0.607
Tc 0.173 0.058 0.653
Tc 0.173 0.442 0.153
Tc 0.213 0.005 0.430
Tc 0.213 0.495 0.930
Tc 0.787 0.505 0.070
Tc 0.787 0.995 0.570
Tc 0.827 0.558 0.847
Tc 0.827 0.942 0.347
Tc 0.860 0.079 0.393
Tc 0.860 0.421 0.893
Se 0.098 0.523 0.317
Se 0.098 0.977 0.817
Se 0.173 0.623 0.888
Se 0.173 0.877 0.388
Se 0.236 0.133 0.474
Se 0.236 0.367 0.974
Se 0.491 0.015 0.307
Se 0.491 0.485 0.807
Se 0.509 0.515 0.193
Se 0.509 0.985 0.693
Se 0.764 0.633 0.026
Se 0.764 0.867 0.526
Se 0.827 0.123 0.612
Se 0.827 0.377 0.112
Se 0.902 0.023 0.183
Se 0.902 0.477 0.683
Br 0.315 0.693 0.247
Br 0.315 0.807 0.747
Br 0.401 0.142 0.862
Br 0.401 0.358 0.362
Br 0.599 0.642 0.638
Br 0.599 0.858 0.138
Br 0.685 0.193 0.253
Br 0.685 0.307 0.753

---

Record 3
# CsSmBr3
Simulated powder diffractogram, Cu Kα (λ = 1.5418 Å). Input: a crystal structure in the Materials Project, relaxed with PBE.

Principal peaks in the range 15 to 90 degrees two-theta, by angle:
Position (°2θ), I_rel
15.32, 28
21.65, 83
26.24, 25
27.01, 23
30.70, 63
30.91, 100
38.62, 28
44.12, 66

Structural model:
Cell lengths 8.362, 11.650, 8.013 Å; angles 90.00, 90.00, 90.00 degrees
Atoms (fractional coordinates):
Cs 0.055 0.250 0.029
Cs 0.445 0.750 0.529
Cs 0.555 0.250 0.471
Cs 0.945 0.750 0.971
Sm 0.000 0.000 0.500
Sm 0.000 0.500 0.500
Sm 0.500 0.000 0.000
Sm 0.500 0.500 0.000
Br 0.000 0.250 0.552
Br 0.000 0.750 0.448
Br 0.218 0.524 0.784
Br 0.218 0.976 0.784
Br 0.282 0.024 0.284
Br 0.282 0.476 0.284
Br 0.500 0.250 0.948
Br 0.500 0.750 0.052
Br 0.718 0.524 0.716
Br 0.718 0.976 0.716
Br 0.782 0.024 0.216
Br 0.782 0.476 0.216

---

Copy entry 1 word for word.
# Cs2ScTlBr6
Simulated powder diffractogram, Cu Kα (λ = 1.5418 Å). Input: a crystal structure in the Materials Project, relaxed with PBE.

Principal peaks in the range 15 to 90 degrees two-theta, by angle:
Position (°2θ), I_rel
21.38, 63
26.26, 50
30.42, 100
33.22, 24
37.48, 26
43.55, 69
54.05, 23
71.83, 27

Structural model:
Cell lengths 8.312, 8.312, 8.312 Å; angles 60.00, 60.00, 60.00 degrees
Atoms (fractional coordinates):
Cs 0.250 0.250 0.250
Cs 0.750 0.750 0.750
Sc 0.000 0.000 0.000
Tl 0.500 0.500 0.500
Br 0.227 0.227 0.773
Br 0.227 0.773 0.227
Br 0.227 0.773 0.773
Br 0.773 0.227 0.227
Br 0.773 0.227 0.773
Br 0.773 0.773 0.227

---

What did the third record say?
# CsSmBr3
Simulated powder diffractogram, Cu Kα (λ = 1.5418 Å). Input: a crystal structure in the Materials Project, relaxed with PBE.

Principal peaks in the range 15 to 90 degrees two-theta, by angle:
Position (°2θ), I_rel
15.32, 28
21.65, 83
26.24, 25
27.01, 23
30.70, 63
30.91, 100
38.62, 28
44.12, 66

Structural model:
Cell lengths 8.362, 11.650, 8.013 Å; angles 90.00, 90.00, 90.00 degrees
Atoms (fractional coordinates):
Cs 0.055 0.250 0.029
Cs 0.445 0.750 0.529
Cs 0.555 0.250 0.471
Cs 0.945 0.750 0.971
Sm 0.000 0.000 0.500
Sm 0.000 0.500 0.500
Sm 0.500 0.000 0.000
Sm 0.500 0.500 0.000
Br 0.000 0.250 0.552
Br 0.000 0.750 0.448
Br 0.218 0.524 0.784
Br 0.218 0.976 0.784
Br 0.282 0.024 0.284
Br 0.282 0.476 0.284
Br 0.500 0.250 0.948
Br 0.500 0.750 0.052
Br 0.718 0.524 0.716
Br 0.718 0.976 0.716
Br 0.782 0.024 0.216
Br 0.782 0.476 0.216